Diffraction record for Fe2OF3. The powder X-ray diffraction pattern is simulated, not measured: it uses DFT lattice parameters and positions (PBE+U) and Cu Kα X-rays.

Cell and atoms:
Cell lengths 9.3264, 6.7904, 9.3073 Å; angles 90.00, 96.52, 90.00 degrees
Space group C2 (No. 5)
Symmetry-distinct sites (fractional):
Fe 0.0000 0.0000 0.0000 x2
Fe 0.0000 0.4571 0.5000 x2
Fe 0.1243 0.9893 0.6240 x4
Fe 0.1263 0.4654 0.1257 x4
Fe 0.2473 0.9423 0.2492 x4
O 0.0000 0.1540 0.5000 x2
O 0.0000 0.2953 0.0000 x2
O 0.2465 0.6416 0.2459 x4
F 0.0000 0.6771 0.0000 x2
F 0.0000 0.7728 0.5000 x2
F 0.0217 0.9580 0.2293 x4
F 0.0249 0.4701 0.7264 x4
F 0.2294 0.4604 0.5232 x4
F 0.2287 0.9672 0.0234 x4
F 0.2486 0.2626 0.2511 x4

Largest 12 diffraction maxima, sorted by position, 15 to 90 degrees two-theta:
Position (°2θ)  d/Å  intensity  h k l
25.63  3.476  94  2 0 -2
26.25  3.395  97  0 2 0
34.31  2.614  100  3 1 1
38.92  2.314  19  4 0 0
39.35  2.290  18  2 2 2
50.95  1.792  30  5 1 -1
51.05  1.789  30  1 1 -5
51.70  1.768  54  3 3 1
52.66  1.738  23  4 0 -4
54.02  1.698  14  0 4 0
59.62  1.551  18  4 0 4
64.97  1.435  40  1 3 -5

=====

Diffraction record for Fe2O3F. The powder X-ray diffraction pattern is simulated, not measured: it uses DFT lattice parameters and positions (PBE+U) and Cu Kα X-rays.

Cell and atoms:
Cell lengths 9.3819, 6.0176, 10.1815 Å; angles 90.00, 113.39, 90.00 degrees
Space group C2/m (No. 12)
Symmetry-distinct sites (fractional):
Fe 0.0000 0.0000 0.0000 x2
Fe 0.0000 0.5000 0.0000 x2
Fe 0.1258 0.2451 0.7493 x8
Fe 0.2214 0.5000 0.4819 x4
O 0.0053 0.5000 0.3401 x4
O 0.0489 0.2490 0.9033 x8
O 0.2029 0.2490 0.5967 x8
O 0.2381 0.5000 0.1599 x4
F 0.0277 0.0000 0.3514 x4
F 0.2239 0.0000 0.1498 x4

Largest 12 diffraction maxima, sorted by position, 15 to 90 degrees two-theta:
Position (°2θ)  d/Å  intensity  h k l
26.00  3.427  100  2 0 1
27.90  3.198  94  2 0 -3
35.48  2.530  99  0 2 2
38.50  2.338  19  0 0 4
39.87  2.261  15  2 2 1
52.27  1.750  60  2 2 3
53.47  1.714  16  4 0 2
54.40  1.686  27  4 2 -4
54.44  1.685  27  2 2 -5
57.66  1.599  15  4 0 -6
61.65  1.504  16  0 4 0
67.70  1.384  38  0 2 6

=====

Diffraction record for Fe4OF7. The powder X-ray diffraction pattern is simulated, not measured: it uses DFT lattice parameters and positions (PBE+U) and Cu Kα X-rays.

Cell and atoms:
Cell lengths 6.5048, 4.8075, 9.6106 Å; angles 90.00, 90.21, 90.00 degrees
Space group P2_1 (No. 4)
Symmetry-distinct sites (fractional):
Fe 0.1060 0.9995 0.1345 x2
Fe 0.1236 0.0312 0.6326 x2
Fe 0.3695 0.5000 0.8715 x2
Fe 0.3730 0.5150 0.3784 x2
O 0.1117 0.3223 0.7822 x2
F 0.1137 0.7289 0.9735 x2
F 0.1283 0.7194 0.4816 x2
F 0.1306 0.3108 0.2710 x2
F 0.3576 0.8137 0.2226 x2
F 0.3602 0.1985 0.0324 x2
F 0.3767 0.2115 0.5239 x2
F 0.3825 0.8166 0.7278 x2

Largest 12 diffraction maxima, sorted by position, 15 to 90 degrees two-theta:
Position (°2θ)  d/Å  intensity  h k l
26.22  3.399  100  0 1 2
33.24  2.695  43  2 1 0
33.32  2.689  15  2 0 2
38.25  2.353  11  2 1 -2
38.36  2.347  11  2 1 2
50.85  1.796  16  2 1 -4
50.92  1.793  33  2 2 2
51.01  1.790  17  2 1 4
53.96  1.699  20  0 2 4
56.60  1.626  11  4 0 0
60.96  1.520  10  0 3 2
64.86  1.437  12  2 3 0

=====

Diffraction record for Fe4O7F. The powder X-ray diffraction pattern is simulated, not measured: it uses DFT lattice parameters and positions (PBE+U) and Cu Kα X-rays.

Cell and atoms:
Cell lengths 6.4338, 6.0075, 13.3599 Å; angles 90.00, 90.00, 90.00 degrees
Space group Amm2 (No. 38)
Symmetry-distinct sites (fractional):
Fe 0.0000 0.0000 0.0000 x2
Fe 0.0000 0.0000 0.4890 x2
Fe 0.0000 0.2452 0.2512 x4
Fe 0.5000 0.0000 0.2477 x2
Fe 0.5000 0.0000 0.7405 x2
Fe 0.5000 0.2444 0.5016 x4
O 0.0000 0.0000 0.1546 x2
O 0.0000 0.0000 0.3451 x2
O 0.0000 0.0000 0.8407 x2
O 0.1921 0.2467 0.9973 x8
O 0.3063 0.2472 0.7471 x8
O 0.5000 0.0000 0.0904 x2
O 0.5000 0.0000 0.4048 x2
O 0.5000 0.0000 0.5956 x2
F 0.0000 0.0000 0.6462 x2
F 0.5000 0.0000 0.8982 x2

Largest 12 diffraction maxima, sorted by position, 15 to 90 degrees two-theta:
Position (°2θ)  d/Å  intensity  h k l
26.69  3.340  97  0 0 4
27.73  3.217  93  2 0 0
35.62  2.521  100  1 2 2
38.87  2.317  20  2 0 4
40.38  2.233  13  0 2 4
41.11  2.195  12  2 2 0
53.14  1.723  58  1 2 6
54.33  1.689  54  3 2 2
54.98  1.670  16  0 0 8
57.28  1.608  15  4 0 0
61.77  1.502  15  0 4 0
68.28  1.374  39  3 2 6

=====

Diffraction record for Fe5O8F2. The powder X-ray diffraction pattern is simulated, not measured: it uses DFT lattice parameters and positions (PBE+U) and Cu Kα X-rays.

Cell and atoms:
Cell lengths 7.6497, 4.5976, 10.2628 Å; angles 90.00, 116.43, 90.00 degrees
Space group P2_1/c (No. 14)
Symmetry-distinct sites (fractional):
Fe 0.0000 0.0000 0.0000 x2
Fe 0.1974 0.0185 0.8080 x4
Fe 0.4130 0.0198 0.6031 x4
O 0.0144 0.1923 0.1776 x4
O 0.2192 0.1995 0.9843 x4
O 0.3772 0.6992 0.9249 x4
O 0.4136 0.1997 0.7784 x4
F 0.1838 0.6919 0.1249 x4

Largest 12 diffraction maxima, sorted by position, 15 to 90 degrees two-theta:
Position (°2θ)  d/Å  intensity  h k l
27.43  3.251  100  1 1 1
35.25  2.546  56  3 0 -2
39.18  2.299  10  2 0 2
40.50  2.227  15  3 1 -2
44.04  2.056  6  2 1 2
53.72  1.706  60  0 1 5
56.62  1.626  17  2 2 2
60.57  1.529  9  4 0 -6
64.04  1.454  9  3 1 3
67.73  1.383  12  3 1 -7
68.48  1.370  20  1 0 6
87.61  1.114  8  2 2 -8

=====

Diffraction record for Fe6O7F5. The powder X-ray diffraction pattern is simulated, not measured: it uses DFT lattice parameters and positions (PBE+U) and Cu Kα X-rays.

Cell and atoms:
Cell lengths 4.7274, 5.6090, 7.7424 Å; angles 85.77, 89.40, 89.20 degrees
Space group P1 (No. 1)
Symmetry-distinct sites (fractional):
Fe 0.0000 0.0000 0.0000 x1
Fe 0.0159 0.6512 0.3314 x1
Fe 0.0642 0.3140 0.6740 x1
Fe 0.4630 0.8083 0.6574 x1
Fe 0.5269 0.1555 0.3375 x1
Fe 0.5495 0.4761 0.9964 x1
O 0.2105 0.0124 0.7765 x1
O 0.2189 0.3639 0.4359 x1
O 0.3181 0.8612 0.4268 x1
O 0.3390 0.5173 0.7776 x1
O 0.7168 0.4461 0.2285 x1
O 0.8227 0.9438 0.2284 x1
O 0.8351 0.2886 0.8945 x1
F 0.2232 0.6887 0.0940 x1
F 0.3234 0.1879 0.1002 x1
F 0.7163 0.7867 0.8943 x1
F 0.7170 0.1101 0.5720 x1
F 0.8205 0.6193 0.5716 x1

Largest 12 diffraction maxima, sorted by position, 15 to 90 degrees two-theta:
Position (°2θ)  d/Å  intensity  h k l
26.53  3.360  100  1 1 1
26.99  3.304  99  -1 1 1
34.83  2.575  81  0 0 3
34.92  2.570  28  0 2 -1
52.33  1.748  28  2 2 -1
52.48  1.744  31  1 3 0
52.85  1.732  27  2 0 -3
53.00  1.728  30  -1 1 4
55.64  1.652  16  -2 2 2
60.23  1.537  18  0 2 -4
66.71  1.402  18  3 1 -2
67.17  1.394  23  0 4 1